Simulated X-ray diffraction stick pattern of NbN for Cu Ka, from a DFT-relaxed cell (PBE, the Materials Project).

Atomic structure:
```
data_NbN
_chemical_formula_sum 'Nb4 N4'
_cell_length_a 2.9907
_cell_length_b 2.9907
_cell_length_c 11.4614
_cell_angle_alpha 90.00
_cell_angle_beta 90.00
_cell_angle_gamma 120.00
_space_group_name_H-M_alt 'P 63/m m c'
_space_group_IT_number 194
_space_group_name_Hall '-P 6c 2c'
loop_
_atom_site_label
_atom_site_fract_x
_atom_site_fract_y
_atom_site_fract_z
Nb1 0.3333 0.6667 0.1228
N1 0.0000 0.0000 0.0000
N2 0.3333 0.6667 0.7500
```

The 10 most intense peaks (2θ = 10–90°), sorted by position:
2θ = 31.22°, d 2.865, intensity 58, hkl 0 0 4; 2θ = 34.63°, d 2.590, intensity 39, hkl 1 0 0; 2θ = 35.53°, d 2.526, intensity 100, hkl 1 0 1; 2θ = 42.15°, d 2.144, intensity 100, hkl 1 0 3; 2θ = 47.31°, d 1.921, intensity 42, hkl 1 0 4; 2θ = 53.37°, d 1.717, intensity 39, hkl 1 0 5; 2θ = 62.07°, d 1.495, intensity 39, hkl 1 1 0; 2θ = 67.70°, d 1.384, intensity 19, hkl 1 0 7; 2θ = 71.12°, d 1.326, intensity 34, hkl 1 1 4; 2θ = 77.89°, d 1.226, intensity 15, hkl 2 0 3